Starting from a cell relaxed with GGA+U, the powder X-ray diffraction pattern of Na3Mn2P2C2O14 was computed for Cu Kα.

Crystal structure
Cell: 8.344 8.421 9.116 Å, 90.92 91.40 103.17°
Space group P1 (No. 1)
One atom of each set of equivalent atoms:
Na1 0.000 0.000 0.000
Na2 0.004 0.504 0.523
Na3 0.279 0.213 0.517
Na4 0.296 0.729 0.002
Na5 0.759 0.750 0.535
Na6 0.769 0.262 0.989
Mn1 0.368 0.110 0.120
Mn2 0.405 0.644 0.404
Mn3 0.862 0.610 0.106
Mn4 0.899 0.147 0.417
P1 0.120 0.850 0.334
P2 0.151 0.383 0.192
P3 0.621 0.371 0.330
P4 0.654 0.902 0.188
C1 0.371 0.606 0.668
C2 0.393 0.146 0.856
C3 0.874 0.116 0.682
C4 0.908 0.638 0.842
O1 0.006 0.729 0.944
O2 0.020 0.432 0.095
O3 0.067 0.978 0.431
O4 0.087 0.319 0.344
O5 0.193 0.922 0.187
O6 0.205 0.244 0.105
O7 0.249 0.782 0.425
O8 0.283 0.029 0.917
O9 0.283 0.509 0.563
O10 0.299 0.534 0.222
O11 0.345 0.591 0.800
O12 0.407 0.168 0.724
O13 0.470 0.223 0.300
O14 0.484 0.720 0.609
O15 0.489 0.236 0.959
O16 0.514 0.958 0.099
O17 0.563 0.505 0.422
O18 0.585 0.816 0.330
O19 0.687 0.436 0.181
O20 0.726 0.795 0.084
O21 0.754 0.325 0.429
O22 0.778 0.021 0.584
O23 0.791 0.529 0.901
O24 0.792 0.057 0.230
O25 0.863 0.104 0.817
O26 0.926 0.657 0.707
O27 0.968 0.705 0.296
O28 0.987 0.228 0.617

Principal peaks in the range 2θ = 15–90°, in order of falling intensity:
hkl 1 -1 1, 16.6°, rel. 100
hkl 2 -2 0, 27.2°, rel. 89
hkl 1 1 -2, 25.6°, rel. 74
hkl 2 2 0, 34.5°, rel. 49
hkl 1 1 -3, 33.7°, rel. 42
hkl 1 1 1, 19.9°, rel. 41
hkl -2 2 2, 33.5°, rel. 34
hkl -1 3 1, 33.7°, rel. 32
hkl 1 1 -1, 19.4°, rel. 28
hkl 1 1 2, 26.4°, rel. 27